[1]
# Rb4Sb2O5
Theoretical powder X-ray diffraction pattern, Cu Kα (λ = 1.5418 Å). Input: DFT lattice parameters and positions (PBE).
Neutral-atom scattering factors, no anomalous dispersion.

Principal peaks in the range 2θ from 10° to 90°, most intense first:
two_theta  I (rel.)
29.34  100
26.50  29
38.34  28
27.20  24
48.58  23
49.41  18
60.85  14
45.36  10
63.87  9
53.30  8
15.96  8
53.69  7

```
11
Lattice="6.7262 0.0000 0.0000 0.0000 1.9995 9.8367 0.0000 -1.9995 9.8367" Properties=species:S:1:pos:R:3 pbc="T T T"
Rb 0.0000 0.0000 0.0000
Rb 0.0000 0.0000 6.4754
Rb 3.3631 0.0000 3.6308
Rb 3.3631 0.0000 16.8029
Sb 0.0000 0.0000 13.3435
Sb 3.3631 0.0000 9.8862
O 1.4899 0.0000 14.6035
O 1.8595 0.0000 8.6670
O 3.3631 0.0000 0.7506
O 4.8667 0.0000 8.6670
O 5.2364 0.0000 14.6035
```


[2]
# RbSbO3
Theoretical powder X-ray diffraction pattern, Cu Kα (λ = 1.5418 Å). Input: DFT lattice parameters and positions (PBE).
Neutral-atom scattering factors, no anomalous dispersion.

Principal peaks in the range 2θ from 10° to 90°, most intense first:
two_theta  I (rel.)
30.92  100
54.99  39
44.29  32
89.69  21
64.42  20
73.16  17
21.73  9
81.51  7
49.85  4
68.86  1
85.61  1

```
5
Lattice="4.0905 0.0000 0.0000 0.0000 4.0905 0.0000 0.0000 0.0000 4.0905" Properties=species:S:1:pos:R:3 pbc="T T T"
Rb 0.0000 0.0000 0.0000
Sb 2.0453 2.0453 2.0453
O 0.0000 2.0453 2.0453
O 2.0453 0.0000 2.0453
O 2.0453 2.0453 0.0000
```


[3]
# Rb4Sb2O5
Theoretical powder X-ray diffraction pattern, Cu Kα (λ = 1.5418 Å). Input: DFT lattice parameters and positions (PBE).
Neutral-atom scattering factors, no anomalous dispersion.

Principal peaks in the range 2θ from 10° to 90°, most intense first:
two_theta  I (rel.)
28.83  100
26.48  28
38.53  27
27.47  23
48.23  23
49.42  19
59.73  14
43.80  11
63.86  9
51.91  9
52.48  7
71.36  7

```
44
Lattice="19.4783 0.0000 0.0000 0.0000 6.7316 0.0000 0.0000 0.0000 8.2677" Properties=species:S:1:pos:R:3 pbc="T T T"
Rb 0.2285 1.6829 1.0334
Rb 0.2406 1.6829 5.1674
Rb 3.0580 5.0487 1.0342
Rb 3.0734 5.0487 5.1665
Rb 6.6658 1.6829 1.0327
Rb 6.6811 1.6829 5.1681
Rb 9.4985 5.0487 1.0335
Rb 9.5106 5.0487 5.1672
Rb 9.9677 1.6829 3.1005
Rb 9.9798 1.6829 7.2342
Rb 12.7971 5.0487 3.0997
Rb 12.8125 5.0487 7.2350
Rb 16.4049 1.6829 3.1012
Rb 16.4203 1.6829 7.2335
Rb 19.2377 5.0487 3.1004
Rb 19.2498 5.0487 7.2343
Sb 3.2126 1.6829 3.1778
Sb 3.2127 1.6829 7.1567
Sb 6.5264 5.0487 3.0229
Sb 6.5265 5.0487 7.3117
Sb 12.9518 1.6829 0.9560
Sb 12.9519 1.6829 5.2448
Sb 16.2655 5.0487 1.1110
Sb 16.2656 5.0487 5.0899
O 1.9525 0.1995 3.1017
O 1.9523 0.1994 7.2327
O 1.9525 3.1663 3.1017
O 1.9523 3.1663 7.2327
O 3.7421 1.6829 5.1676
O 5.9970 5.0487 1.0338
O 7.7868 3.5652 3.0989
O 7.7867 3.5652 7.2356
O 7.7868 6.5321 3.0989
O 7.7867 6.5321 7.2356
O 11.6916 0.1995 1.0321
O 11.6914 0.1994 5.1689
O 11.6916 3.1663 1.0321
O 11.6914 3.1663 5.1689
O 13.4813 1.6829 7.2339
O 15.7361 5.0487 3.1001
O 17.5260 3.5652 1.0350
O 17.5258 3.5652 5.1660
O 17.5260 6.5321 1.0350
O 17.5258 6.5321 5.1660
```


[4]
# RbScO2
Theoretical powder X-ray diffraction pattern, Cu Kα (λ = 1.5418 Å). Input: DFT lattice parameters and positions (PBE).
Neutral-atom scattering factors, no anomalous dispersion.

Principal peaks in the range 2θ from 10° to 90°, most intense first:
two_theta  I (rel.)
37.94  100
34.46  78
32.22  53
27.70  48
55.99  36
53.47  34
63.59  27
47.62  19
69.63  14
84.21  13
74.17  12
67.43  10

```
8
Lattice="3.2850 0.0000 0.0000 -1.6425 2.8449 0.0000 0.0000 0.0000 12.8809" Properties=species:S:1:pos:R:3 pbc="T T T"
Rb 0.0000 1.8966 3.2202
Rb 1.6425 0.9483 9.6607
Sc 0.0000 0.0000 0.0000
Sc 0.0000 0.0000 6.4405
O 0.0000 1.8966 7.5219
O 0.0000 1.8966 11.7995
O 1.6425 0.9483 1.0815
O 1.6425 0.9483 5.3590
```


[5]
# RbSeO4
Theoretical powder X-ray diffraction pattern, Cu Kα (λ = 1.5418 Å). Input: DFT lattice parameters and positions (PBE).
Neutral-atom scattering factors, no anomalous dispersion.

Principal peaks in the range 2θ from 10° to 90°, most intense first:
two_theta  I (rel.)
33.52  100
24.20  89
22.87  87
24.05  87
26.93  62
35.62  46
33.37  31
29.18  22
24.59  20
52.01  14
45.78  13
42.56  13

```
18
Lattice="4.4430 0.0000 0.0000 0.0208 7.7755 0.0000 2.1668 3.8672 9.9320" Properties=species:S:1:pos:R:3 pbc="T T T"
Rb 0.0000 0.0000 0.0000
Rb 1.4647 3.8839 3.3968
Rb 4.0125 7.1803 6.6339
Se 2.0479 7.7855 3.3854
Se 4.0376 3.2883 6.6617
Se 3.8800 3.8956 0.0171
O 0.7775 8.7898 2.8234
O 2.1113 6.7467 8.7460
O 1.5389 6.7848 4.6035
O 0.7097 4.9040 0.5695
O 2.7949 10.0452 7.2341
O 2.6019 6.9538 2.0697
O 3.2449 8.8242 4.0464
O 3.5729 4.2126 5.3718
O 4.5223 4.2135 7.9423
O 4.8508 8.7969 9.2786
O 3.3297 3.0835 1.3487
O 5.2985 10.0104 6.1010
```